Record 1
Diffraction record for B3Ru2. The X-ray diffraction stick pattern is simulated, not measured: it uses DFT lattice parameters and positions (GGA-PBE) and λ = 1.5418 Å (Cu Kα).
No peak broadening, texture or thermal motion is included.

Principal peaks in the range 2θ from 10° to 90°, sorted by position:
d/Å	Rel. int.
3.209	60
2.534	43
2.486	100
2.180	30
1.989	24
1.803	79
1.463	29
1.331	25
1.243	17
1.136	17

Crystal structure
Lattice parameters (Å, degrees): 2.9255 2.9255 12.8364 90.00 90.00 120.00
Space group P6_3/mmc (No. 194)
One atom of each set of equivalent atoms:
B  0.3333  0.6667  0.0306 x4
B  0.3333  0.6667  0.2500 x2
Ru  0.3333  0.6667  0.6399 x4

---

Record 2
Diffraction record for Li11Ge6. The X-ray diffraction stick pattern is simulated, not measured: it uses DFT lattice parameters and positions (GGA-PBE) and λ = 1.5418 Å (Cu Kα).
No peak broadening, texture or thermal motion is included.

Principal peaks in the range 2θ from 10° to 90°, sorted by position:
d/Å	Rel. int.
8.077	44
4.256	32
3.950	100
3.405	40
3.267	54
3.114	44
2.160	33
2.059	28
2.035	29
2.010	28

Crystal structure
Lattice parameters (Å, degrees): 4.319 24.873 10.621 90.00 90.00 90.00
Space group Cmcm (No. 63)
One atom of each set of equivalent atoms:
Li  0.000  0.026  0.250 x4
Li  0.000  0.091  0.501 x8
Li  0.000  0.143  0.250 x4
Li  0.000  0.180  0.620 x8
Li  0.000  0.242  0.106 x8
Li  0.000  0.361  0.250 x4
Li  0.000  0.465  0.113 x8
Ge  0.000  0.081  0.750 x4
Ge  0.000  0.272  0.750 x4
Ge  0.000  0.329  0.552 x8
Ge  0.000  0.424  0.634 x8

---

Record 3
Diffraction record for VMoAs2. The X-ray diffraction stick pattern is simulated, not measured: it uses DFT lattice parameters and positions (GGA-PBE) and λ = 1.5418 Å (Cu Kα).
No peak broadening, texture or thermal motion is included.

Principal peaks in the range 2θ from 10° to 90°, sorted by position:
d/Å	Rel. int.
2.805	53
2.669	99
2.229	30
2.168	48
2.160	75
2.104	100
1.885	36
1.799	35
1.693	34
1.164	34

Crystal structure
Lattice parameters (Å, degrees): 3.386 6.369 5.921 90.00 90.00 90.00
Space group Pmc2_1 (No. 26)
One atom of each set of equivalent atoms:
V  0.000  0.066  0.000 x2
Mo  0.500  0.434  0.982 x2
As  0.000  0.312  0.681 x2
As  0.500  0.170  0.299 x2

---

Record 4
Diffraction record for MgVS2. The X-ray diffraction stick pattern is simulated, not measured: it uses DFT lattice parameters and positions (GGA-PBE) and λ = 1.5418 Å (Cu Kα).
No peak broadening, texture or thermal motion is included.

Principal peaks in the range 2θ from 10° to 90°, sorted by position:
d/Å	Rel. int.
5.903	12
3.121	5
2.578	100
1.830	33
1.815	31
1.492	16
1.476	5
1.289	9
1.157	13
1.149	13

Crystal structure
Lattice parameters (Å, degrees): 3.6608 3.6608 17.7081 90.00 90.00 120.00
Space group R-3m (No. 166, hexagonal axes)
One atom of each set of equivalent atoms:
Mg  0.0000  0.0000  0.0000 x3
V  0.0000  0.0000  0.5000 x3
S  0.0000  0.0000  0.2468 x6

---

Record 5
Diffraction record for Ba3LuIr2O9. The X-ray diffraction stick pattern is simulated, not measured: it uses DFT lattice parameters and positions (GGA-PBE) and λ = 1.5418 Å (Cu Kα).
No peak broadening, texture or thermal motion is included.

Principal peaks in the range 2θ from 10° to 90°, sorted by position:
d/Å	Rel. int.
4.831	26
2.974	58
2.955	100
2.538	19
2.096	31
1.933	13
1.710	23
1.706	20
1.478	17
1.117	17

Crystal structure
Lattice parameters (Å, degrees): 5.9103 5.9103 14.6146 90.00 90.00 120.00
Space group P6_3/mmc (No. 194)
One atom of each set of equivalent atoms:
Ba  0.0000  0.0000  0.2500 x2
Ba  0.3333  0.6667  0.0918 x4
Lu  0.0000  0.0000  0.0000 x2
Ir  0.3333  0.6667  0.6634 x4
O  0.0169  0.5085  0.7500 x6
O  0.1736  0.3472  0.5856 x12

---

Record 6
Diffraction record for SrLa4TiAl4O15. The X-ray diffraction stick pattern is simulated, not measured: it uses DFT lattice parameters and positions (GGA-PBE) and λ = 1.5418 Å (Cu Kα).
No peak broadening, texture or thermal motion is included.

Principal peaks in the range 2θ from 10° to 90°, sorted by position:
d/Å	Rel. int.
3.842	36
2.717	100
2.218	39
1.926	13
1.918	25
1.717	11
1.570	13
1.567	26
1.359	18
1.214	8

Crystal structure
Lattice parameters (Å, degrees): 5.421 27.158 3.852 90.00 90.00 90.00
Space group Cmmm (No. 65)
One atom of each set of equivalent atoms:
Sr  0.000  0.000  0.000 x2
La  0.000  0.200  0.000 x4
La  0.000  0.398  0.000 x4
Ti  0.000  0.500  0.500 x2
Al  0.000  0.101  0.500 x4
Al  0.000  0.300  0.500 x4
O  0.000  0.102  0.000 x4
O  0.000  0.300  0.000 x4
O  0.000  0.500  0.000 x2
O  0.248  0.448  0.500 x8
O  0.249  0.349  0.500 x8
O  0.250  0.250  0.500 x4

---

Record 7
Diffraction record for BaIBr. The X-ray diffraction stick pattern is simulated, not measured: it uses DFT lattice parameters and positions (GGA-PBE) and λ = 1.5418 Å (Cu Kα).
No peak broadening, texture or thermal motion is included.

Principal peaks in the range 2θ from 10° to 90°, sorted by position:
d/Å	Rel. int.
3.360	79
3.190	100
2.848	24
2.836	19
2.710	26
2.575	34
2.559	35
1.906	13
1.815	25
1.601	13

Crystal structure
Lattice parameters (Å, degrees): 8.853 5.151 10.252 90.00 90.00 90.00
Space group Pnma (No. 62)
One atom of each set of equivalent atoms:
Ba  0.229  0.250  0.125 x4
I  0.028  0.750  0.332 x4
Br  0.143  0.750  0.933 x4

---

Record 8
Diffraction record for Ca3Sn2S7. The X-ray diffraction stick pattern is simulated, not measured: it uses DFT lattice parameters and positions (GGA-PBE) and λ = 1.5418 Å (Cu Kα).
No peak broadening, texture or thermal motion is included.

Principal peaks in the range 2θ from 10° to 90°, sorted by position:
d/Å	Rel. int.
6.002	40
4.835	71
3.464	37
3.442	100
2.468	69
2.347	31
2.282	25
2.015	41
1.996	24
1.973	31

Crystal structure
Lattice parameters (Å, degrees): 24.008 7.033 6.929 90.00 90.00 90.00
Space group Cmcm (No. 63)
One atom of each set of equivalent atoms:
Ca  0.000  0.209  0.250 x4
Ca  0.187  0.228  0.250 x8
Sn  0.103  0.257  0.750 x8
S  0.000  0.379  0.750 x4
S  0.073  0.000  0.000 x8
S  0.137  0.500  0.000 x8
S  0.204  0.154  0.750 x8

---

Record 9
Diffraction record for CrN2. The X-ray diffraction stick pattern is simulated, not measured: it uses DFT lattice parameters and positions (GGA-PBE) and λ = 1.5418 Å (Cu Kα).
No peak broadening, texture or thermal motion is included.

Principal peaks in the range 2θ from 10° to 90°, sorted by position:
d/Å	Rel. int.
4.895	100
4.844	44
4.485	82
4.297	61
4.262	33
3.306	30
3.291	19
2.836	25
2.811	19
2.552	31

Crystal structure
Lattice parameters (Å, degrees): 5.603 8.970 5.623 90.00 119.31 90.00
Space group P2_1 (No. 4)
One atom of each set of equivalent atoms:
Cr  0.125  0.000  0.356 x2
Cr  0.209  0.378  0.310 x2
N  0.053  0.428  0.972 x2
N  0.059  0.465  0.469 x2
N  0.165  0.185  0.335 x2
N  0.445  0.920  0.531 x2

---

Record 10
Diffraction record for KSi2HO5. The X-ray diffraction stick pattern is simulated, not measured: it uses DFT lattice parameters and positions (GGA-PBE) and λ = 1.5418 Å (Cu Kα).
No peak broadening, texture or thermal motion is included.

Principal peaks in the range 2θ from 10° to 90°, sorted by position:
d/Å	Rel. int.
4.241	65
4.151	43
3.862	82
3.774	48
3.718	100
3.624	57
3.045	68
2.965	96
2.450	44
1.860	36

Crystal structure
Lattice parameters (Å, degrees): 14.791 8.474 9.894 90.00 122.95 90.00
Space group C2/m (No. 12)
One atom of each set of equivalent atoms:
K  0.000  0.000  0.000 x2
K  0.000  0.000  0.500 x2
K  0.180  0.500  0.019 x4
Si  0.095  0.313  0.298 x8
Si  0.198  0.314  0.676 x8
H  0.085  0.232  0.799 x8
O  0.027  0.253  0.833 x8
O  0.111  0.500  0.271 x4
O  0.124  0.281  0.480 x8
O  0.161  0.200  0.767 x8
O  0.175  0.212  0.263 x8
O  0.187  0.500  0.711 x4